Record 1
The following is a calculated powder diffractogram of Rb2TeCl6. It was derived from a PBE-relaxed structure, using Cu Ka.
Kinematic intensities with the Lorentz-polarization factor, no thermal factor.

Unit cell a=7.4372 b=7.4372 c=7.4372 alpha=60.00 beta=60.00 gamma=60.00
Element x y z (fractional)
Rb1 0.2500 0.2500 0.2500
Rb2 0.7500 0.7500 0.7500
Te1 0.0000 0.0000 0.0000
Cl1 0.2439 0.2439 0.7561
Cl2 0.2439 0.7561 0.2439
Cl3 0.2439 0.7561 0.7561
Cl4 0.7561 0.2439 0.2439
Cl5 0.7561 0.2439 0.7561
Cl6 0.7561 0.7561 0.2439

The 10 most intense peaks (2θ = 15–90°), by intensity:
2θ (°)	d (Å)	Rel. int.
34.10	2.629	100
23.93	3.719	95
48.99	1.859	66
29.42	3.036	55
42.09	2.147	44
28.14	3.171	37
81.93	1.176	28
66.53	1.406	23
61.04	1.518	22
55.24	1.663	21

***

Record 2
The following is a calculated powder diffractogram of Nb4FeS8. It was derived from a PBE-relaxed structure, using Cu Ka.
Kinematic intensities with the Lorentz-polarization factor, no thermal factor.

Unit cell a=12.6160 b=12.6160 c=5.7603 alpha=103.00 beta=103.00 gamma=15.27
Element x y z (fractional)
Nb1 0.1166 0.1166 0.1094
Nb2 0.3803 0.3803 0.3730
Nb3 0.6197 0.6197 0.6270
Nb4 0.8834 0.8834 0.8906
Fe1 0.5000 0.5000 0.5000
S1 0.0530 0.0530 0.3916
S2 0.1823 0.1823 0.5133
S3 0.3171 0.3171 0.9797
S4 0.4481 0.4481 0.1191
S5 0.5519 0.5519 0.8809
S6 0.6829 0.6829 0.0203
S7 0.8177 0.8177 0.4867
S8 0.9470 0.9470 0.6084

The 10 most intense peaks (2θ = 15–90°), by intensity:
2θ (°)	d (Å)	Rel. int.
43.13	2.098	100
34.28	2.616	53
55.14	1.666	33
30.87	2.897	31
34.45	2.604	26
31.76	2.817	20
31.05	2.880	15
54.78	1.676	15
48.82	1.865	14
43.32	2.089	13

***

Record 3
The following is a calculated powder diffractogram of Sr2AlSbO6. It was derived from a PBE-relaxed structure, using Cu Ka.
Kinematic intensities with the Lorentz-polarization factor, no thermal factor.

Unit cell a=5.5559 b=5.5559 c=5.5559 alpha=60.00 beta=60.00 gamma=60.00
Element x y z (fractional)
Sr1 0.2500 0.2500 0.2500
Sr2 0.7500 0.7500 0.7500
Al1 0.0000 0.0000 0.0000
Sb1 0.5000 0.5000 0.5000
O1 0.2461 0.2461 0.7539
O2 0.2461 0.7539 0.2461
O3 0.2461 0.7539 0.7539
O4 0.7539 0.2461 0.2461
O5 0.7539 0.2461 0.7539
O6 0.7539 0.7539 0.2461

The 10 most intense peaks (2θ = 15–90°), by intensity:
2θ (°)	d (Å)	Rel. int.
32.22	2.778	100
57.46	1.604	39
46.22	1.964	37
19.57	4.536	22
67.42	1.389	22
76.71	1.242	17
37.98	2.369	14
85.65	1.134	7
39.74	2.268	7
50.64	1.803	6